Calculated powder X-ray diffraction pattern of KCu2SbSe3 for CuKα, from a DFT-relaxed cell (GGA-PBE, the Materials Project).
Kinematic intensities with the Lorentz-polarization factor, no thermal factor.

Cell and atoms:
a = 6.790 Å, b = 10.998 Å, c = 19.926 Å
α = 90.00°, β = 108.94°, γ = 90.00°
Space group P2_1/c (No. 14)
Inequivalent atoms, fractional coordinates:
K (0.011, 0.129, 0.211)
K (0.485, 0.633, 0.786)
Cu (0.057, 0.169, 0.555)
Cu (0.168, 0.550, 0.585)
Cu (0.339, 0.037, 0.418)
Cu (0.353, 0.137, 0.870)
Sb (0.120, 0.644, 0.090)
Sb (0.494, 0.146, 0.018)
Se (0.000, 0.048, 0.648)
Se (0.021, 0.672, 0.659)
Se (0.100, 0.632, 0.464)
Se (0.388, 0.128, 0.536)
Se (0.472, 0.167, 0.342)
Se (0.491, 0.058, 0.143)

The 8 most intense peaks (2θ = 5–70°), low angle first:
hkl 0 0 2, d 9.424, 9.38°, intensity 100.0; hkl 2 0 0, d 3.211, 27.78°, intensity 37.7; hkl 1 2 -5, d 3.148, 28.35°, intensity 27.9; hkl 1 3 -3, d 3.044, 29.34°, intensity 73.1; hkl 0 1 6, d 3.020, 29.57°, intensity 31.0; hkl 0 4 0, d 2.747, 32.60°, intensity 38.4; hkl 2 3 -2, d 2.490, 36.07°, intensity 26.8; hkl 3 3 -3, d 1.925, 47.20°, intensity 35.9